1.
Starting from DFT lattice parameters and positions (PBE), the X-ray powder pattern of PbS was computed for CuKα.
Kinematic intensities with the Lorentz-polarization factor, no thermal factor.

Atomic structure:
```
data_PbS
_chemical_formula_sum 'Pb4 S4'
_space_group_name_H-M_alt 'A e m 2'
_space_group_IT_number 39
_cell_length_a 11.3702
_cell_length_b 6.0112
_cell_length_c 6.0230
_cell_angle_alpha 90.00
_cell_angle_beta 90.00
_cell_angle_gamma 90.00
loop_
_space_group_symop_operation_xyz
'x,y,z'
'-x,-y,z'
'-x,y+1/2,z'
'x,-y+1/2,z'
'x,y+1/2,z+1/2'
'-x,-y+1/2,z+1/2'
'-x,y,z+1/2'
'x,-y,z+1/2'
loop_
_atom_site_label
_atom_site_type_symbol
_atom_site_fract_x
_atom_site_fract_y
_atom_site_fract_z
Pb1 Pb 0.1251 0.2500 0.0000
S1 S 0.1121 0.2500 0.5136
```

Largest 12 diffraction maxima, by angle, 2θ = 10–80°:
| 2θ (°) | d/Å | I (rel.) |
| --- | --- | --- |
| 22.31 | 3.985 | 75 |
| 23.47 | 3.790 | 30 |
| 26.16 | 3.406 | 100 |
| 29.69 | 3.009 | 72 |
| 30.74 | 2.908 | 67 |
| 31.47 | 2.843 | 31 |
| 31.61 | 2.830 | 29 |
| 42.49 | 2.127 | 27 |
| 43.27 | 2.091 | 26 |
| 43.82 | 2.066 | 49 |
| 50.59 | 1.804 | 37 |
| 53.84 | 1.703 | 34 |

***

2.
Starting from DFT lattice parameters and positions (PBE), the X-ray powder pattern of Pb3S was computed for CuKα.
Kinematic intensities with the Lorentz-polarization factor, no thermal factor.

Atomic structure:
```
data_Pb3S
_chemical_formula_sum 'Pb3 S1'
_space_group_name_H-M_alt 'P m -3 m'
_space_group_IT_number 221
_space_group_name_Hall '-P 4 2 3'
_cell_length_a 4.8402
_cell_length_b 4.8402
_cell_length_c 4.8402
_cell_angle_alpha 90.00
_cell_angle_beta 90.00
_cell_angle_gamma 90.00
loop_
_atom_site_label
_atom_site_type_symbol
_atom_site_fract_x
_atom_site_fract_y
_atom_site_fract_z
Pb1 Pb 0.0000 0.0000 0.5000
S1 S 0.5000 0.5000 0.5000
```

Largest 12 diffraction maxima, by angle, 2θ = 10–80°:
| 2θ (°) | d/Å | I (rel.) |
| --- | --- | --- |
| 18.33 | 4.840 | 19 |
| 26.03 | 3.423 | 17 |
| 32.03 | 2.794 | 100 |
| 37.15 | 2.420 | 51 |
| 41.73 | 2.165 | 11 |
| 45.93 | 1.976 | 8 |
| 53.55 | 1.711 | 36 |
| 57.09 | 1.613 | 5 |
| 63.77 | 1.459 | 43 |
| 66.97 | 1.397 | 12 |
| 73.16 | 1.294 | 4 |
| 79.15 | 1.210 | 6 |